Theoretical powder diffractogram
Compound: NbV2H3
Radiation: CuKα
Structure: the PBE geometry in Alexandria

The 8 most intense peaks (2θ from 10° to 90°), in order of falling intensity:
| 2θ (°) | intensity | index |
| --- | --- | --- |
| 38.6 | 100.0 | 0 1 2 |
| 37.0 | 95.7 | 1 1 -1 |
| 38.7 | 73.5 | 2 0 0 |
| 38.8 | 55.1 | 1 0 -3 |
| 35.7 | 46.1 | 1 1 0 |
| 32.6 | 33.5 | 1 0 2 |
| 75.7 | 32.1 | 2 2 0 |
| 44.8 | 29.2 | 1 1 2 |

Atomic structure:
a b c (Å): 4.6893 2.9864 7.5214
angles (deg): 90.00 97.29 90.00
Space group P2_1/m (No. 11)
One atom of each set of equivalent atoms:
Nb1 0.2297 0.2500 0.3812 x2
V1 0.2346 0.7500 0.0276 x2
V2 0.2985 0.2500 0.7515 x2
H1 0.0797 0.7500 0.2348 x2
H2 0.2817 0.7500 0.5801 x2
H3 0.4909 0.2500 0.1463 x2